Rb2CdI4: computed powder X-ray diffraction pattern (CuKα), based on a crystal structure in OQMD, relaxed with GGA-PBE.
Neutral-atom scattering factors, no anomalous dispersion.

Crystal structure
Cell: 8.0208 8.3873 10.5033 Å, 90.00 109.37 90.00°
Space group P2_1 (No. 4)
Inequivalent atoms, fractional coordinates:
Rb1 0.2052 0.0000 0.0421 (multiplicity 2)
Rb2 0.2759 0.9987 0.5784 (multiplicity 2)
Cd1 0.2118 0.5060 0.7900 (multiplicity 2)
I1 0.0203 0.7426 0.2727 (multiplicity 2)
I2 0.0276 0.2645 0.2760 (multiplicity 2)
I3 0.3923 0.5130 0.0707 (multiplicity 2)
I4 0.4347 0.5105 0.6340 (multiplicity 2)

Peak list (6 most intense, 2θ from 15° to 90°, most intense first)
d = 3.668 Å, rel. 100, (1 2 0); d = 3.344 Å, rel. 71, (2 1 -2); d = 3.645 Å, rel. 68, (2 0 -2); d = 3.331 Å, rel. 65, (1 1 2); d = 2.626 Å, rel. 58, (1 0 -4); d = 3.630 Å, rel. 57, (1 0 2)